Record 1
# RbTm2O3
Simulated powder XRD pattern, Cu Kα (weighted mean of Kα1 and Kα2). Input: the GGA-PBE geometry in Alexandria.

Atomic structure:
Unit cell a=5.9470 b=5.9470 c=3.1070 alpha=90.00 beta=90.00 gamma=120.00
Space group P6/mmm (No. 191)
Unique sites:
Rb (0.0000, 0.0000, 0.0000) [1 per cell]
Tm (0.3333, 0.6667, 0.5000) [2 per cell]
O (0.0000, 0.5000, 0.0000) [3 per cell]

Main lines, in order of rising 2θ (5 to 70 degrees two-theta):
2θ (°), Rel. int., hkl
17.2, 23, 1 0 0
30.1, 100, 1 1 0
33.7, 51, 1 0 1
42.1, 35, 1 1 1
45.8, 34, 2 0 1
53.4, 20, 3 0 0
55.7, 25, 2 1 1
61.7, 11, 3 0 1
62.5, 18, 2 2 0
68.1, 20, 1 1 2

=====

Record 2
# Rb2SrMnI6
Simulated powder XRD pattern, Cu Kα (weighted mean of Kα1 and Kα2). Input: the GGA-PBE geometry in Alexandria.

Atomic structure:
Unit cell a=8.6733 b=8.6733 c=20.5875 alpha=90.00 beta=90.00 gamma=120.00
Space group R-3 (No. 148, hexagonal axes)
Unique sites:
Rb (0.0000, 0.0000, 0.2331) [6 per cell]
Sr (0.0000, 0.0000, 0.5000) [3 per cell]
Mn (0.0000, 0.0000, 0.0000) [3 per cell]
I (0.0247, 0.4368, 0.7474) [18 per cell]

Main lines, in order of rising 2θ (5 to 70 degrees two-theta):
2θ (°), Rel. int., hkl
14.6, 25, 0 1 2
24.3, 92, 1 1 3
25.2, 66, 2 0 2
26.0, 37, 0 0 6
29.4, 100, 0 2 4
31.8, 31, 2 1 1
38.5, 22, 3 -2 5
42.6, 32, 2 0 8
43.7, 32, 1 3 1
53.9, 28, 1 3 7

=====

Record 3
# Li2PuIrO6
Simulated powder XRD pattern, Cu Kα (weighted mean of Kα1 and Kα2). Input: the GGA-PBE geometry in Alexandria.

Atomic structure:
Unit cell a=5.832 b=5.832 c=3.975 alpha=90.00 beta=90.00 gamma=90.00
Space group P4mm (No. 99)
Unique sites:
Li (0.000, 0.500, 0.000) [2 per cell]
Pu (0.000, 0.000, 0.926) [1 per cell]
Ir (0.500, 0.500, 0.937) [1 per cell]
O (0.000, 0.000, 0.429) [1 per cell]
O (0.256, 0.256, 0.943) [4 per cell]
O (0.500, 0.500, 0.439) [1 per cell]

Main lines, in order of rising 2θ (5 to 70 degrees two-theta):
2θ (°), Rel. int., hkl
21.5, 100, 1 1 0
22.4, 50, 0 0 1
30.7, 33, 2 0 0
31.3, 57, 1 1 1
38.3, 26, 2 0 1
43.9, 22, 2 2 0
49.4, 22, 3 1 0
49.8, 24, 2 2 1
51.0, 20, 1 1 2
54.9, 25, 3 1 1

=====

Record 4
# LiB3C3
Simulated powder XRD pattern, Cu Kα (weighted mean of Kα1 and Kα2). Input: the GGA-PBE geometry in Alexandria.

Atomic structure:
Unit cell a=2.737 b=13.511 c=7.679 alpha=90.00 beta=90.00 gamma=90.00
Space group Cmc2_1 (No. 36)
Unique sites:
Li (0.000, 0.179, 0.000) [4 per cell]
B (0.000, 0.043, 0.798) [4 per cell]
B (0.000, 0.295, 0.233) [4 per cell]
B (0.000, 0.376, 0.740) [4 per cell]
C (0.000, 0.072, 0.250) [4 per cell]
C (0.000, 0.259, 0.723) [4 per cell]
C (0.000, 0.407, 0.298) [4 per cell]

Main lines, in order of rising 2θ (5 to 70 degrees two-theta):
2θ (°), Rel. int., hkl
17.5, 12, 0 2 1
23.2, 100, 0 0 2
26.7, 7, 0 2 2
38.5, 5, 1 3 0
40.0, 4, 0 6 0
40.3, 5, 1 3 1
45.4, 12, 1 3 2
46.8, 8, 0 6 2
47.4, 8, 0 0 4
68.6, 3, 2 0 0

=====

Record 5
# Y3Er2Cd2
Simulated powder XRD pattern, Cu Kα (weighted mean of Kα1 and Kα2). Input: the GGA-PBE geometry in Alexandria.

Atomic structure:
Unit cell a=5.3713 b=5.3713 c=23.7925 alpha=90.00 beta=90.00 gamma=120.00
Space group R-3m (No. 166, hexagonal axes)
Unique sites:
Y (0.0000, 0.0000, 0.0000) [3 per cell]
Y (0.0000, 0.0000, 0.1568) [6 per cell]
Er (0.0000, 0.0000, 0.4256) [6 per cell]
Cd (0.0000, 0.0000, 0.2881) [6 per cell]

Main lines, in order of rising 2θ (5 to 70 degrees two-theta):
2θ (°), Rel. int., hkl
19.4, 13, 1 0 1
26.8, 5, 0 1 5
32.6, 97, 1 0 7
33.4, 100, 1 1 0
35.8, 8, 0 1 8
47.4, 34, 0 2 7
57.8, 18, 0 1 14
59.2, 34, 2 1 7
59.6, 18, 3 0 0
68.4, 8, 2 0 14

=====

Record 6
# TcBRu
Simulated powder XRD pattern, Cu Kα (weighted mean of Kα1 and Kα2). Input: the GGA-PBE geometry in Alexandria.

Atomic structure:
Unit cell a=4.780 b=7.535 c=7.592 alpha=90.00 beta=90.00 gamma=90.00
Space group Fmmm (No. 69)
Unique sites:
Tc (0.000, 0.171, 0.000) [8 per cell]
B (0.250, 0.250, 0.250) [8 per cell]
Ru (0.000, 0.000, 0.327) [8 per cell]

Main lines, in order of rising 2θ (5 to 70 degrees two-theta):
2θ (°), Rel. int., hkl
23.6, 8, 0 2 0
33.5, 47, 0 2 2
37.6, 59, 2 0 0
42.1, 100, 1 1 3
42.4, 96, 1 3 1
51.3, 36, 2 2 2
54.1, 10, 0 2 4
54.4, 12, 0 4 2
67.8, 7, 2 2 4
68.0, 9, 2 4 2